Nb2P5: computed XRD peak list (Cu Kα X-rays), based on a structure optimized by DFT (PBE).
Lines closer than 0.1° are merged.

Structural model:
Unit cell a=16.860 b=3.358 c=7.950 alpha=90.00 beta=90.00 gamma=90.00
Element x y z (fractional)
Nb 0.095 0.250 0.165
Nb 0.226 0.750 0.673
Nb 0.274 0.250 0.173
Nb 0.405 0.750 0.665
Nb 0.595 0.250 0.335
Nb 0.726 0.750 0.827
Nb 0.774 0.250 0.327
Nb 0.905 0.750 0.835
P 0.022 0.250 0.880
P 0.040 0.250 0.462
P 0.116 0.250 0.684
P 0.184 0.750 0.995
P 0.185 0.750 0.349
P 0.315 0.250 0.849
P 0.316 0.250 0.495
P 0.384 0.750 0.184
P 0.460 0.750 0.962
P 0.478 0.750 0.380
P 0.522 0.250 0.620
P 0.540 0.250 0.038
P 0.616 0.250 0.816
P 0.684 0.750 0.505
P 0.685 0.750 0.151
P 0.815 0.250 0.651
P 0.816 0.250 0.005
P 0.884 0.750 0.316
P 0.960 0.750 0.538
P 0.978 0.750 0.120

Principal peaks in the range 2θ from 15° to 90°, by angle:
d 3.869, 23.0 deg, I = 564, (1 0 2); d 3.724, 23.9 deg, I = 217, (4 0 1); d 3.093, 28.9 deg, I = 297, (0 1 1); d 2.626, 34.1 deg, I = 1000, (4 1 0); d 2.397, 37.5 deg, I = 233, (3 0 3); d 2.081, 43.5 deg, I = 681, (5 0 3); d 2.065, 43.9 deg, I = 675, (1 1 3); d 2.060, 44.0 deg, I = 367, (7 0 2); d 2.042, 44.4 deg, I = 436, (5 1 2); d 1.679, 54.7 deg, I = 293, (0 2 0)